No. 1
For MgH12SeO9, a GGA-PBE-relaxed structure gives the calculated powder diffraction line list in this record (Cu Ka).

The 6 most intense peaks (2θ = 10–80°), sorted by position:
2θ 19.8, rel. 100.0
2θ 22.7, rel. 78.3
2θ 30.3, rel. 46.0
2θ 32.0, rel. 57.8
2θ 36.4, rel. 39.6
2θ 50.9, rel. 34.7

Structure:
a b c (Å): 8.9766 8.9766 9.0637
angles (deg): 90.00 90.00 120.00
Space group R3 (No. 146, hexagonal axes)
Unique sites:
Mg: 0.0000 0.0000 0.0000
H: 0.0349 0.5676 0.8343
H: 0.0773 0.3540 0.5462
H: 0.1422 0.7747 0.8245
H: 0.1743 0.4834 0.4147
Se: 0.0000 0.0000 0.4826
O: 0.0056 0.1922 0.8554
O: 0.1405 0.6682 0.7929
O: 0.1934 0.0543 0.5688


No. 2
For Mg3H12SeO9, a GGA-PBE-relaxed structure gives the calculated powder diffraction line list in this record (Cu Ka).

The 6 most intense peaks (2θ = 10–80°), sorted by position:
2θ 10.8, rel. 94.8
2θ 11.1, rel. 100.0
2θ 13.3, rel. 36.4
2θ 17.4, rel. 34.0
2θ 19.9, rel. 24.9
2θ 21.7, rel. 34.7

Structure:
a b c (Å): 8.9106 10.2708 10.6294
angles (deg): 86.26 67.46 82.88
Space group P1 (No. 1)
Unique sites:
Mg: 0.0000 0.0000 0.0000
Mg: 0.0941 0.5583 0.5240
Mg: 0.5860 0.5687 0.5541
H: 0.0222 0.8292 0.1364
H: 0.0344 0.9365 0.7700
H: 0.0465 0.0981 0.7436
H: 0.0691 0.7575 0.6833
H: 0.6170 0.6411 0.2348
H: 0.6414 0.8729 0.4721
H: 0.6422 0.8458 0.3302
H: 0.6791 0.6893 0.0204
H: 0.7660 0.5892 0.9093
H: 0.7981 0.0371 0.2504
H: 0.7996 0.6620 0.1971
H: 0.9710 0.7481 0.8369
Se: 0.1154 0.6221 0.0188
O: 0.0234 0.6082 0.9105
O: 0.0548 0.0254 0.8043
O: 0.0795 0.8190 0.0370
O: 0.6221 0.9170 0.3949
O: 0.6658 0.6486 0.9448
O: 0.6902 0.7096 0.2065
O: 0.8980 0.0542 0.1744
O: 0.9865 0.5910 0.1767
O: 0.9881 0.8113 0.7572